No. 1
The following is a calculated powder diffractogram of Ca3V3As4O16. It was derived from DFT lattice parameters and positions (PBE+U), using Cu Kα (weighted mean of Kα1 and Kα2).

Main lines, by angle (10° ≤ 2θ ≤ 90°):
2θ 11.80, I 66
2θ 23.03, I 59
2θ 26.02, I 83
2θ 29.01, I 100
2θ 33.86, I 75
2θ 34.19, I 86

Cell and atoms:
Cell: 9.1168 5.2949 17.4072 Å, 90.00 114.81 90.00°
Fractional coordinates of all 52 atoms:
Ca 0.0000 0.0000 0.0000
Ca 0.0000 0.5000 0.5000
Ca 0.2911 0.0399 0.2678
Ca 0.2911 0.4601 0.7678
Ca 0.7089 0.5399 0.2322
Ca 0.7089 0.9601 0.7322
V 0.2167 0.5411 0.3783
V 0.2167 0.9589 0.8783
V 0.5000 0.0000 0.5000
V 0.5000 0.5000 0.0000
V 0.7833 0.0411 0.1217
V 0.7833 0.4589 0.6217
As 0.0417 0.5221 0.1553
As 0.0417 0.9779 0.6553
As 0.4399 0.5255 0.6006
As 0.4399 0.9745 0.1006
As 0.5601 0.0255 0.8994
As 0.5601 0.4745 0.3994
As 0.9583 0.0221 0.3447
As 0.9583 0.4779 0.8447
O 0.0182 0.6523 0.6370
O 0.0182 0.8477 0.1370
O 0.0924 0.1446 0.5869
O 0.0924 0.3554 0.0869
O 0.1361 0.5851 0.8431
O 0.1361 0.9149 0.3431
O 0.1963 0.0311 0.7547
O 0.1963 0.4689 0.2547
O 0.2651 0.5629 0.5109
O 0.2651 0.9371 0.0109
O 0.4135 0.2312 0.9056
O 0.4135 0.2688 0.4056
O 0.4226 0.6004 0.6903
O 0.4226 0.8996 0.1903
O 0.4595 0.7406 0.8969
O 0.4595 0.7594 0.3969
O 0.5405 0.2406 0.6031
O 0.5405 0.2594 0.1031
O 0.5774 0.1004 0.8097
O 0.5774 0.3996 0.3097
O 0.5865 0.7312 0.5944
O 0.5865 0.7688 0.0944
O 0.7349 0.0629 0.9891
O 0.7349 0.4371 0.4891
O 0.8037 0.5311 0.7453
O 0.8037 0.9689 0.2453
O 0.8639 0.0851 0.6569
O 0.8639 0.4149 0.1569
O 0.9076 0.6446 0.9131
O 0.9076 0.8554 0.4131
O 0.9818 0.1523 0.8630
O 0.9818 0.3477 0.3630

No. 2
The following is a calculated powder diffractogram of La3CoWS3O6. It was derived from DFT lattice parameters and positions (PBE+U), using Cu Kα (weighted mean of Kα1 and Kα2).

Main lines, by angle (10° ≤ 2θ ≤ 90°):
2θ 24.70, I 62
2θ 27.04, I 65
2θ 28.88, I 31
2θ 33.13, I 100
2θ 43.71, I 42
2θ 51.38, I 33

Cell and atoms:
Cell: 9.4433 9.4433 5.5788 Å, 90.00 90.00 120.00°
Fractional coordinates of all 28 atoms:
La 0.0902 0.6854 0.2500
La 0.3146 0.4048 0.2500
La 0.4048 0.0902 0.7500
La 0.5952 0.9098 0.2500
La 0.6854 0.5952 0.7500
La 0.9098 0.3146 0.7500
Co 0.0000 0.0000 0.0000
Co 0.0000 0.0000 0.5000
W 0.3333 0.6667 0.7500
W 0.6667 0.3333 0.2500
S 0.0447 0.8326 0.7500
S 0.1674 0.2121 0.7500
S 0.2121 0.0447 0.2500
S 0.7879 0.9553 0.7500
S 0.8326 0.7879 0.2500
S 0.9553 0.1674 0.2500
O 0.1606 0.5245 0.5229
O 0.1606 0.5245 0.9771
O 0.3639 0.8394 0.5229
O 0.3639 0.8394 0.9771
O 0.4755 0.6361 0.5229
O 0.4755 0.6361 0.9771
O 0.5245 0.3639 0.0229
O 0.5245 0.3639 0.4771
O 0.6361 0.1606 0.0229
O 0.6361 0.1606 0.4771
O 0.8394 0.4755 0.0229
O 0.8394 0.4755 0.4771

No. 3
The following is a calculated powder diffractogram of FeP4O12. It was derived from DFT lattice parameters and positions (PBE+U), using Cu Kα (weighted mean of Kα1 and Kα2).

Main lines, by angle (10° ≤ 2θ ≤ 90°):
2θ 13.11, I 52
2θ 14.26, I 36
2θ 18.57, I 62
2θ 24.12, I 50
2θ 26.37, I 42
2θ 29.17, I 100

Cell and atoms:
Cell: 7.4750 7.4750 9.7725 Å, 110.93 110.93 69.52°
Fractional coordinates of all 34 atoms:
Fe 0.0000 0.5000 0.0000
Fe 0.5000 0.0000 0.5000
P 0.1637 0.1985 0.6876
P 0.1985 0.1637 0.1876
P 0.2254 0.7725 0.9630
P 0.2275 0.7746 0.5370
P 0.7725 0.2254 0.4630
P 0.7746 0.2275 0.0370
P 0.8015 0.8363 0.8124
P 0.8363 0.8015 0.3124
O 0.0219 0.8587 0.8468
O 0.0272 0.7080 0.4341
O 0.1413 0.9781 0.6532
O 0.1431 0.3075 0.8444
O 0.1812 0.6814 0.0591
O 0.1859 0.3485 0.1529
O 0.2920 0.9728 0.0659
O 0.3075 0.1431 0.3444
O 0.3186 0.8188 0.4409
O 0.3485 0.1859 0.6529
O 0.3596 0.6239 0.6244
O 0.3761 0.6404 0.8756
O 0.6239 0.3596 0.1244
O 0.6404 0.3761 0.3756
O 0.6515 0.8141 0.3471
O 0.6814 0.1812 0.5591
O 0.6925 0.8569 0.6556
O 0.7080 0.0272 0.9341
O 0.8141 0.6515 0.8471
O 0.8188 0.3186 0.9409
O 0.8569 0.6925 0.1556
O 0.8587 0.0219 0.3468
O 0.9728 0.2920 0.5659
O 0.9781 0.1413 0.1532

No. 4
The following is a calculated powder diffractogram of V6PbO15. It was derived from DFT lattice parameters and positions (PBE+U), using Cu Kα (weighted mean of Kα1 and Kα2).

Main lines, by angle (10° ≤ 2θ ≤ 90°):
2θ 12.34, I 79
2θ 18.16, I 95
2θ 26.99, I 100
2θ 28.65, I 91
2θ 30.07, I 69
2θ 31.87, I 63

Cell and atoms:
Cell: 8.0553 8.0553 10.3905 Å, 109.30 109.30 26.78°
Fractional coordinates of all 22 atoms:
V 0.0000 0.0000 0.0000
V 0.3335 0.3335 0.8004
V 0.3843 0.3843 0.4895
V 0.5439 0.5439 0.7891
V 0.7813 0.7813 0.0115
V 0.9498 0.9498 0.3091
Pb 0.6662 0.6662 0.3005
O 0.0346 0.0346 0.8289
O 0.0616 0.0616 0.3697
O 0.1031 0.1031 0.1266
O 0.2335 0.2335 0.6869
O 0.2690 0.2690 0.4232
O 0.3006 0.3006 0.9772
O 0.4037 0.4037 0.6890
O 0.4239 0.4239 0.3260
O 0.4815 0.4815 0.9468
O 0.5477 0.5477 0.6331
O 0.6670 0.6670 0.9020
O 0.7735 0.7735 0.1684
O 0.8520 0.8520 0.8585
O 0.9118 0.9118 0.4716
O 0.9264 0.9264 0.1263

No. 5
The following is a calculated powder diffractogram of MgCr2Ni2O8. It was derived from DFT lattice parameters and positions (PBE+U), using Cu Kα (weighted mean of Kα1 and Kα2).

Main lines, by angle (10° ≤ 2θ ≤ 90°):
2θ 23.55, I 37
2θ 31.70, I 47
2θ 34.21, I 100
2θ 35.13, I 59
2θ 48.18, I 29
2θ 61.73, I 37

Cell and atoms:
Cell: 6.3055 5.1407 5.1407 Å, 66.60 90.00 90.00°
Fractional coordinates of all 13 atoms:
Mg 0.0000 0.0000 0.0000
Cr 0.0000 0.6793 0.6793
Cr 0.5000 0.9772 0.9772
Ni 0.2545 0.3385 0.3385
Ni 0.7455 0.3385 0.3385
O 0.0000 0.0661 0.5810
O 0.0000 0.5810 0.0661
O 0.2201 0.5760 0.5760
O 0.2786 0.1008 0.1008
O 0.5000 0.1245 0.6127
O 0.5000 0.6127 0.1245
O 0.7214 0.1008 0.1008
O 0.7799 0.5760 0.5760